1.
Diffraction record for CeSm4Ru2. The powder diffractogram is theoretical, not measured: it uses DFT lattice parameters and positions (PBE) and λ = 1.5418 Å (Cu Kα).
Peak positions follow from Bragg's law for the DFT cell and can differ from measured ones.

Structural model:
```
data_CeSm4Ru2
_chemical_formula_sum 'Ce2 Sm8 Ru4'
_symmetry_space_group_name_H-M 'P 1 21/m 1'
_symmetry_Int_Tables_number 11
_cell_length_a 7.8193
_cell_length_b 6.4855
_cell_length_c 7.8294
_cell_angle_alpha 90.00
_cell_angle_beta 109.36
_cell_angle_gamma 90.00
loop_
_symmetry_equiv_pos_as_xyz
'x,y,z'
'-x,-y,-z'
'-x,y+1/2,-z'
'x,-y+1/2,z'
loop_
_atom_site_label
_atom_site_type_symbol
_atom_site_fract_x
_atom_site_fract_y
_atom_site_fract_z
Ce1 Ce 0.1351 0.2500 0.3646
Sm1 Sm 0.0659 0.7500 0.0852
Sm2 Sm 0.3055 0.0002 0.8053
Sm3 Sm 0.4157 0.7500 0.4363
Ru1 Ru 0.0596 0.7500 0.4404
Ru2 Ru 0.3181 0.2500 0.1797
```

Peak list (8 most intense, 2θ = 10–90°, sorted by position)
27.95°, I 35
30.10°, I 38
30.46°, I 42
30.93°, I 100
33.51°, I 92
34.39°, I 61
36.90°, I 53
39.18°, I 80

***

2.
Diffraction record for CeSm2Ru2. The powder diffractogram is theoretical, not measured: it uses DFT lattice parameters and positions (PBE) and λ = 1.5418 Å (Cu Kα).
Peak positions follow from Bragg's law for the DFT cell and can differ from measured ones.

Structural model:
```
data_CeSm2Ru2
_chemical_formula_sum 'Ce4 Sm8 Ru8'
_symmetry_space_group_name_H-M 'C 1 2/c 1'
_symmetry_Int_Tables_number 15
_cell_length_a 10.2353
_cell_length_b 5.9739
_cell_length_c 7.9325
_cell_angle_alpha 90.00
_cell_angle_beta 101.06
_cell_angle_gamma 90.00
loop_
_symmetry_equiv_pos_as_xyz
'x,y,z'
'-x,-y,-z'
'-x,y,-z+1/2'
'x,-y,z+1/2'
'x+1/2,y+1/2,z'
'-x+1/2,-y+1/2,-z'
'-x+1/2,y+1/2,-z+1/2'
'x+1/2,-y+1/2,z+1/2'
loop_
_atom_site_label
_atom_site_type_symbol
_atom_site_fract_x
_atom_site_fract_y
_atom_site_fract_z
Ce1 Ce 0.0000 0.1249 0.2500
Sm1 Sm 0.1525 0.3740 0.6519
Ru1 Ru 0.1329 0.1338 0.0136
```

Peak list (8 most intense, 2θ = 10–90°, sorted by position)
31.67°, I 59
32.10°, I 100
34.56°, I 50
35.19°, I 48
35.74°, I 65
37.26°, I 61
37.97°, I 70
62.74°, I 42

***

3.
Diffraction record for Ce2SmRu3. The powder diffractogram is theoretical, not measured: it uses DFT lattice parameters and positions (PBE) and λ = 1.5418 Å (Cu Kα).
Peak positions follow from Bragg's law for the DFT cell and can differ from measured ones.

Structural model:
```
data_Ce2SmRu3
_chemical_formula_sum 'Ce2 Sm1 Ru3'
_symmetry_space_group_name_H-M 'P 6/m m m'
_symmetry_Int_Tables_number 191
_symmetry_space_group_name_Hall '-P 6 2'
_cell_length_a 6.1171
_cell_length_b 6.1171
_cell_length_c 4.0438
_cell_angle_alpha 90.00
_cell_angle_beta 90.00
_cell_angle_gamma 120.00
loop_
_atom_site_label
_atom_site_type_symbol
_atom_site_fract_x
_atom_site_fract_y
_atom_site_fract_z
Ce1 Ce 0.3333 0.6667 0.0000
Sm1 Sm 0.0000 0.0000 0.0000
Ru1 Ru 0.0000 0.5000 0.5000
```

Peak list (8 most intense, 2θ = 10–90°, sorted by position)
29.20°, I 35
33.84°, I 23
36.85°, I 100
40.72°, I 24
44.83°, I 18
56.90°, I 28
60.54°, I 22
78.41°, I 21

***

4.
Diffraction record for Ce2Sm2Ru3. The powder diffractogram is theoretical, not measured: it uses DFT lattice parameters and positions (PBE) and λ = 1.5418 Å (Cu Kα).
Peak positions follow from Bragg's law for the DFT cell and can differ from measured ones.

Structural model:
```
data_Ce2Sm2Ru3
_chemical_formula_sum 'Ce2 Sm2 Ru3'
_symmetry_space_group_name_H-M 'P -1'
_symmetry_Int_Tables_number 2
_cell_length_a 4.0931
_cell_length_b 6.0869
_cell_length_c 7.3081
_cell_angle_alpha 83.41
_cell_angle_beta 73.82
_cell_angle_gamma 70.37
loop_
_symmetry_equiv_pos_as_xyz
'x,y,z'
'-x,-y,-z'
loop_
_atom_site_label
_atom_site_type_symbol
_atom_site_fract_x
_atom_site_fract_y
_atom_site_fract_z
Ce1 Ce 0.1945 0.2119 0.3989
Sm1 Sm 0.4209 0.2809 0.8767
Ru1 Ru 0.1688 0.8371 0.8245
Ru2 Ru 0.5000 0.5000 0.5000
```

Peak list (8 most intense, 2θ = 10–90°, sorted by position)
30.17°, I 100
31.21°, I 39
32.58°, I 57
33.50°, I 26
37.21°, I 60
37.79°, I 62
39.57°, I 70
44.26°, I 44